Entry 1:
This entry pairs a crystal structure of Cs2CuSnI6 with its simulated X-ray diffraction stick pattern. Radiation: λ = 1.5418 Å (Cu Kα). Structure: a PBE-relaxed structure.
Intensities are scaled so that the largest is 100.

```
data_Cs2CuSnI6
_chemical_formula_sum 'Cs8 Cu4 Sn4 I24'
_symmetry_space_group_name_H-M 'F m -3 m'
_symmetry_Int_Tables_number 225
_symmetry_space_group_name_Hall '-F 4 2 3'
_cell_length_a 11.8291
_cell_length_b 11.8291
_cell_length_c 11.8291
_cell_angle_alpha 90.00
_cell_angle_beta 90.00
_cell_angle_gamma 90.00
loop_
_atom_site_label
_atom_site_fract_x
_atom_site_fract_y
_atom_site_fract_z
_atom_site_occupancy
Cs1 0.2500 0.2500 0.2500 1
Cu1 0.0000 0.0000 0.0000 1
Sn1 0.0000 0.0000 0.5000 1
I1 0.0000 0.0000 0.2409 1
```

Largest 6 diffraction maxima, in order of falling intensity, 2θ = 5–70°:
2θ = 30.2°, rel. 100; 2θ = 26.1°, rel. 91; 2θ = 43.3°, rel. 73; 2θ = 51.2°, rel. 40; 2θ = 53.7°, rel. 25; 2θ = 69.2°, rel. 16

Entry 2:
This entry pairs a crystal structure of YTm2Cu4Si2Ge2 with its simulated X-ray diffraction stick pattern. Radiation: λ = 1.5418 Å (Cu Kα). Structure: a PBE-relaxed structure.
Intensities are scaled so that the largest is 100.

```
data_YTm2Cu4Si2Ge2
_chemical_formula_sum 'Y2 Tm4 Cu8 Si4 Ge4'
_symmetry_space_group_name_H-M 'I m m m'
_symmetry_Int_Tables_number 71
_symmetry_space_group_name_Hall '-I 2 2'
_cell_length_a 4.1010
_cell_length_b 6.6003
_cell_length_c 13.7117
_cell_angle_alpha 90.00
_cell_angle_beta 90.00
_cell_angle_gamma 90.00
loop_
_atom_site_label
_atom_site_fract_x
_atom_site_fract_y
_atom_site_fract_z
_atom_site_occupancy
Y1 0.0000 0.0000 0.0000 1
Tm1 0.0000 0.5000 0.1295 1
Cu1 0.0000 0.3088 0.3254 1
Si1 0.0000 0.0000 0.2175 1
Ge1 0.0000 0.1915 0.5000 1
```

Largest 6 diffraction maxima, in order of falling intensity, 2θ = 5–70°:
2θ = 35.5°, rel. 100; 2θ = 36.8°, rel. 77; 2θ = 45.8°, rel. 33; 2θ = 44.2°, rel. 32; 2θ = 65.5°, rel. 22; 2θ = 14.9°, rel. 20

Entry 3:
This entry pairs a crystal structure of PmTl2Ga2 with its simulated X-ray diffraction stick pattern. Radiation: λ = 1.5418 Å (Cu Kα). Structure: a PBE-relaxed structure.
Intensities are scaled so that the largest is 100.

```
data_PmTl2Ga2
_chemical_formula_sum 'Pm4 Tl8 Ga8'
_symmetry_space_group_name_H-M 'C m c m'
_symmetry_Int_Tables_number 63
_symmetry_space_group_name_Hall '-C 2c 2'
_cell_length_a 4.5756
_cell_length_b 10.6078
_cell_length_c 10.6605
_cell_angle_alpha 90.00
_cell_angle_beta 90.00
_cell_angle_gamma 90.00
loop_
_atom_site_label
_atom_site_fract_x
_atom_site_fract_y
_atom_site_fract_z
_atom_site_occupancy
Pm1 0.0000 0.0889 0.2500 1
Tl1 0.0000 0.2250 0.6034 1
Ga1 0.0000 0.4386 0.1117 1
```

Largest 6 diffraction maxima, in order of falling intensity, 2θ = 5–70°:
2θ = 33.1°, rel. 100; 2θ = 39.4°, rel. 21; 2θ = 30.3°, rel. 20; 2θ = 16.7°, rel. 16; 2θ = 41.1°, rel. 14; 2θ = 50.4°, rel. 14

Entry 4:
This entry pairs a crystal structure of Nd2GdZn3AgAu2 with its simulated X-ray diffraction stick pattern. Radiation: λ = 1.5418 Å (Cu Kα). Structure: a PBE-relaxed structure.
Intensities are scaled so that the largest is 100.

```
data_Nd2GdZn3AgAu2
_chemical_formula_sum 'Nd4 Gd2 Zn6 Ag2 Au4'
_symmetry_space_group_name_H-M 'A m m 2'
_symmetry_Int_Tables_number 38
_symmetry_space_group_name_Hall 'A 2 -2'
_cell_length_a 3.9247
_cell_length_b 13.2643
_cell_length_c 7.6875
_cell_angle_alpha 90.00
_cell_angle_beta 90.00
_cell_angle_gamma 90.00
loop_
_atom_site_label
_atom_site_fract_x
_atom_site_fract_y
_atom_site_fract_z
_atom_site_occupancy
Nd1 0.0000 0.2036 0.0000 1
Gd1 0.0000 0.0000 0.3889 1
Zn1 0.5000 0.0000 0.0536 1
Zn2 0.5000 0.1264 0.6668 1
Ag1 0.0000 0.0000 0.7927 1
Au1 0.5000 0.1632 0.2981 1
```

Largest 6 diffraction maxima, in order of falling intensity, 2θ = 5–70°:
2θ = 32.6°, rel. 100; 2θ = 35.4°, rel. 95; 2θ = 40.7°, rel. 32; 2θ = 23.2°, rel. 27; 2θ = 63.3°, rel. 26; 2θ = 46.3°, rel. 24

Entry 5:
This entry pairs a crystal structure of YGa5Co with its simulated X-ray diffraction stick pattern. Radiation: λ = 1.5418 Å (Cu Kα). Structure: a PBE-relaxed structure.
Intensities are scaled so that the largest is 100.

```
data_YGa5Co
_chemical_formula_sum 'Y1 Ga5 Co1'
_symmetry_space_group_name_H-M 'P 4/m m m'
_symmetry_Int_Tables_number 123
_symmetry_space_group_name_Hall '-P 4 2'
_cell_length_a 4.2205
_cell_length_b 4.2205
_cell_length_c 6.8229
_cell_angle_alpha 90.00
_cell_angle_beta 90.00
_cell_angle_gamma 90.00
loop_
_atom_site_label
_atom_site_fract_x
_atom_site_fract_y
_atom_site_fract_z
_atom_site_occupancy
Y1 0.0000 0.0000 0.0000 1
Ga1 0.0000 0.5000 0.3115 1
Ga2 0.5000 0.5000 0.0000 1
Co1 0.0000 0.0000 0.5000 1
```

Largest 6 diffraction maxima, in order of falling intensity, 2θ = 5–70°:
2θ = 40.1°, rel. 100; 2θ = 42.9°, rel. 59; 2θ = 32.8°, rel. 42; 2θ = 59.8°, rel. 22; 2θ = 39.6°, rel. 19; 2θ = 62.2°, rel. 19

Entry 6:
This entry pairs a crystal structure of Ba2AuS with its simulated X-ray diffraction stick pattern. Radiation: λ = 1.5418 Å (Cu Kα). Structure: a PBE-relaxed structure.
Intensities are scaled so that the largest is 100.

```
data_Ba2AuS
_chemical_formula_sum 'Ba4 Au2 S2'
_symmetry_space_group_name_H-M 'P m n 21'
_symmetry_Int_Tables_number 31
_symmetry_space_group_name_Hall 'P 2ac -2'
_cell_length_a 4.5915
_cell_length_b 9.4511
_cell_length_c 6.5983
_cell_angle_alpha 90.00
_cell_angle_beta 90.00
_cell_angle_gamma 90.00
loop_
_atom_site_label
_atom_site_fract_x
_atom_site_fract_y
_atom_site_fract_z
_atom_site_occupancy
Ba1 0.0000 0.1197 0.0000 1
Ba2 0.0000 0.6461 0.0006 1
Au1 0.0000 0.6176 0.5010 1
S1 0.0000 0.1118 0.4989 1
```

Largest 6 diffraction maxima, in order of falling intensity, 2θ = 5–70°:
2θ = 27.1°, rel. 100; 2θ = 38.6°, rel. 51; 2θ = 63.1°, rel. 23; 2θ = 9.4°, rel. 14; 2θ = 48.3°, rel. 14; 2θ = 47.3°, rel. 13